For KNaVF6, DFT lattice parameters and positions (GGA+U) gives the calculated PXRD pattern in this record (copper Kα).
Intensities are scaled so that the largest is 100.

Crystal structure
a b c (Å): 5.686 5.686 5.434
angles (deg): 90.00 90.00 119.34
Fractional positions:
K  0.000  0.000  0.000
Na  0.670  0.330  0.500
V  0.335  0.665  0.500
F  0.056  0.396  0.303
F  0.060  0.651  0.700
F  0.346  0.400  0.699
F  0.349  0.940  0.300
F  0.600  0.654  0.301
F  0.604  0.944  0.697

Largest 10 diffraction maxima, low angle first, 10° ≤ 2θ ≤ 90°:
16.31°, d 5.434, rel. 44; 17.90°, d 4.957, rel. 31; 18.07°, d 4.908, rel. 17; 24.30°, d 3.662, rel. 100; 24.44°, d 3.642, rel. 50; 35.36°, d 2.539, rel. 17; 35.64°, d 2.519, rel. 32; 45.99°, d 1.974, rel. 26; 46.22°, d 1.964, rel. 51; 55.63°, d 1.652, rel. 17